Simulated X-ray powder pattern
Compound: HoCoSn2
Radiation: Cu Kα
Structure: a PBE-relaxed structure
Neutral-atom scattering factors, no anomalous dispersion.

Structural model:
Unit cell a=11.118 b=11.118 c=4.474 alpha=90.00 beta=90.00 gamma=158.49
Positions (direct):
Ho 0.158 0.842 0.750
Ho 0.842 0.158 0.250
Co 0.250 0.750 0.250
Co 0.750 0.250 0.750
Sn 0.316 0.684 0.750
Sn 0.457 0.543 0.250
Sn 0.543 0.457 0.750
Sn 0.684 0.316 0.250

Peak list (10 most intense, 10° ≤ 2θ ≤ 90°, in order of rising 2θ)
2theta	intensity
21.5	15
24.4	13
24.7	12
29.7	26
36.0	100
38.6	13
40.3	23
43.6	18
60.9	14
70.5	13

=====

Simulated X-ray powder pattern
Compound: Ho3Co8Sn4
Radiation: Cu Kα
Structure: a PBE-relaxed structure
Neutral-atom scattering factors, no anomalous dispersion.

Structural model:
Unit cell a=8.810 b=8.810 c=7.568 alpha=90.00 beta=90.00 gamma=120.00
Positions (direct):
Ho 0.049 0.525 0.000
Ho 0.475 0.525 0.000
Ho 0.475 0.951 0.000
Ho 0.525 0.049 0.500
Ho 0.525 0.475 0.500
Ho 0.951 0.475 0.500
Co 0.000 0.000 0.288
Co 0.000 0.000 0.788
Co 0.099 0.198 0.030
Co 0.099 0.901 0.030
Co 0.160 0.321 0.344
Co 0.160 0.840 0.344
Co 0.198 0.099 0.530
Co 0.321 0.160 0.844
Co 0.333 0.667 0.656
Co 0.667 0.333 0.156
Co 0.679 0.840 0.344
Co 0.802 0.901 0.030
Co 0.840 0.160 0.844
Co 0.840 0.679 0.844
Co 0.901 0.099 0.530
Co 0.901 0.802 0.530
Sn 0.171 0.342 0.712
Sn 0.171 0.829 0.712
Sn 0.333 0.667 0.306
Sn 0.342 0.171 0.212
Sn 0.658 0.829 0.712
Sn 0.667 0.333 0.806
Sn 0.829 0.171 0.212
Sn 0.829 0.658 0.212

Peak list (10 most intense, 10° ≤ 2θ ≤ 90°, in order of rising 2θ)
2theta	intensity
26.2	20
33.2	28
33.4	100
37.3	34
37.6	26
39.3	25
41.0	87
43.0	27
53.8	21
64.8	28

=====

Simulated X-ray powder pattern
Compound: Tb3HoCo8
Radiation: Cu Kα
Structure: a PBE-relaxed structure
Neutral-atom scattering factors, no anomalous dispersion.

Structural model:
Unit cell a=8.788 b=8.788 c=8.788 alpha=33.38 beta=33.38 gamma=33.38
Positions (direct):
Tb 0.000 0.000 0.000
Tb 0.125 0.125 0.125
Tb 0.625 0.625 0.625
Ho 0.500 0.500 0.500
Co 0.062 0.062 0.562
Co 0.062 0.562 0.062
Co 0.063 0.563 0.563
Co 0.313 0.313 0.313
Co 0.562 0.062 0.062
Co 0.563 0.063 0.563
Co 0.563 0.563 0.063
Co 0.813 0.813 0.813

Peak list (10 most intense, 10° ≤ 2θ ≤ 90°, in order of rising 2θ)
2theta	intensity
21.5	15
35.4	44
35.6	44
41.8	33
41.9	100
43.9	14
63.8	24
68.2	30
75.0	15
75.3	15